1.
Ta4CoNi: computed powder diffraction line list (Cu Kα X-rays), based on a structure optimized by DFT (PBE).
Peak positions follow from Bragg's law for the DFT cell and can differ from measured ones.

The 10 most intense peaks (10° ≤ 2θ ≤ 80°), in order of falling intensity:
37.4°, I 100; 46.5°, I 23; 66.4°, I 19; 47.3°, I 16; 36.6°, I 15; 76.0°, I 14; 65.2°, I 14; 42.2°, I 13; 72.3°, I 8; 64.0°, I 6

Atomic structure:
Cell lengths 6.1697, 6.1697, 4.9149 Å; angles 90.00, 90.00, 90.00 degrees
Space group I422 (No. 97)
Unique sites:
Ta 0.1594 0.3406 0.2500 x8
Co 0.0000 0.0000 0.5000 x2
Ni 0.0000 0.0000 0.0000 x2

=====

2.
TbCo2Ni3: computed powder diffraction line list (Cu Kα X-rays), based on a structure optimized by DFT (PBE).
Peak positions follow from Bragg's law for the DFT cell and can differ from measured ones.

The 10 most intense peaks (10° ≤ 2θ ≤ 80°), in order of falling intensity:
43.3°, I 100; 31.1°, I 50; 44.3°, I 45; 45.6°, I 39; 36.5°, I 32; 43.4°, I 31; 30.6°, I 23; 72.0°, I 21; 64.8°, I 18; 42.0°, I 18

Atomic structure:
Cell lengths 4.7669, 8.6108, 3.9781 Å; angles 90.00, 90.00, 90.00 degrees
Space group Cmmm (No. 65)
Unique sites:
Tb 0.0000 0.0000 0.0000 x2
Co 0.2500 0.2500 0.5000 x4
Ni 0.0000 0.3321 0.0000 x4
Ni 0.0000 0.5000 0.5000 x2

=====

3.
Tb2Co3Ni: computed powder diffraction line list (Cu Kα X-rays), based on a structure optimized by DFT (PBE).
Peak positions follow from Bragg's law for the DFT cell and can differ from measured ones.

The 10 most intense peaks (10° ≤ 2θ ≤ 80°), in order of falling intensity:
41.8°, I 100; 34.8°, I 72; 35.9°, I 69; 40.9°, I 66; 42.3°, I 52; 67.9°, I 28; 44.1°, I 26; 73.4°, I 25; 63.8°, I 25; 21.7°, I 23

Atomic structure:
Cell lengths 4.9995, 4.9995, 12.8413 Å; angles 90.00, 90.00, 120.00 degrees
Space group R-3m (No. 166, hexagonal axes)
Unique sites:
Tb 0.0000 0.0000 0.1218 x6
Co 0.0000 0.5000 0.0000 x9
Ni 0.0000 0.0000 0.5000 x3

=====

4.
CoNiTe2: computed powder diffraction line list (Cu Kα X-rays), based on a structure optimized by DFT (PBE).
Peak positions follow from Bragg's law for the DFT cell and can differ from measured ones.

The 10 most intense peaks (10° ≤ 2θ ≤ 80°), in order of falling intensity:
31.1°, I 100; 43.3°, I 55; 45.9°, I 51; 56.5°, I 18; 64.9°, I 16; 59.0°, I 16; 75.7°, I 15; 77.8°, I 7; 58.3°, I 5; 71.4°, I 4

Atomic structure:
Cell lengths 3.9532, 3.9532, 5.2846 Å; angles 90.00, 90.00, 120.00 degrees
Space group P-3m1 (No. 164)
Unique sites:
Co 0.0000 0.0000 0.0000 x1
Ni 0.0000 0.0000 0.5000 x1
Te 0.3333 0.6667 0.7603 x2

=====

5.
Ti4CoNi: computed powder diffraction line list (Cu Kα X-rays), based on a structure optimized by DFT (PBE).
Peak positions follow from Bragg's law for the DFT cell and can differ from measured ones.

The 10 most intense peaks (10° ≤ 2θ ≤ 80°), in order of falling intensity:
41.8°, I 100; 45.7°, I 29; 39.3°, I 27; 71.2°, I 24; 27.5°, I 9; 13.7°, I 9; 48.6°, I 8; 63.6°, I 8; 72.9°, I 8; 77.9°, I 6

Atomic structure:
Cell lengths 11.2355, 11.2355, 11.2355 Å; angles 90.00, 90.00, 90.00 degrees
Space group F-43m (No. 216)
Unique sites:
Ti 0.0000 0.0000 0.1857 x24
Ti 0.0624 0.2500 0.7500 x24
Ti 0.1301 0.1301 0.3699 x16
Co 0.1538 0.1538 0.1538 x16
Ni 0.0887 0.0887 0.5887 x16

=====

6.
Ti4Co5Ni: computed powder diffraction line list (Cu Kα X-rays), based on a structure optimized by DFT (PBE).
Peak positions follow from Bragg's law for the DFT cell and can differ from measured ones.

The 10 most intense peaks (10° ≤ 2θ ≤ 80°), in order of falling intensity:
44.1°, I 100; 42.2°, I 61; 78.5°, I 31; 61.2°, I 18; 67.1°, I 5; 49.4°, I 3; 29.5°, I 2; 12.7°, I 2; 39.4°, I 1; 75.8°, I 1

Atomic structure:
Cell lengths 3.0301, 3.0301, 13.9458 Å; angles 90.00, 90.00, 90.00 degrees
Space group P4/mmm (No. 123)
Unique sites:
Ti 0.0000 0.0000 0.1052 x2
Ti 0.0000 0.0000 0.3163 x2
Co 0.5000 0.5000 0.0000 x1
Co 0.5000 0.5000 0.2047 x2
Co 0.5000 0.5000 0.4065 x2
Ni 0.0000 0.0000 0.5000 x1

=====

Copy entry 2 word for word.
TbCo2Ni3: computed powder diffraction line list (Cu Kα X-rays), based on a structure optimized by DFT (PBE).
Peak positions follow from Bragg's law for the DFT cell and can differ from measured ones.

The 10 most intense peaks (10° ≤ 2θ ≤ 80°), in order of falling intensity:
43.3°, I 100; 31.1°, I 50; 44.3°, I 45; 45.6°, I 39; 36.5°, I 32; 43.4°, I 31; 30.6°, I 23; 72.0°, I 21; 64.8°, I 18; 42.0°, I 18

Atomic structure:
Cell lengths 4.7669, 8.6108, 3.9781 Å; angles 90.00, 90.00, 90.00 degrees
Space group Cmmm (No. 65)
Unique sites:
Tb 0.0000 0.0000 0.0000 x2
Co 0.2500 0.2500 0.5000 x4
Ni 0.0000 0.3321 0.0000 x4
Ni 0.0000 0.5000 0.5000 x2